(1)
Simulated powder X-ray diffraction pattern
Compound: LiPb3
Radiation: a wavelength of 1.5418 Å
Structure: a PBE-relaxed structure

Peak list (10 most intense, 10 to 90 degrees two-theta, sorted by position)
Position (°2θ)	d [Å]	I (rel.)
17.02	5.209	22.5
24.37	3.652	17.6
29.88	2.990	100.0
34.44	2.604	35.9
35.04	2.561	17.2
49.50	1.842	13.2
49.94	1.826	25.7
58.90	1.568	30.7
59.69	1.549	14.8
62.08	1.495	13.6

Structure:
a b c (Å): 5.2086 5.2086 5.1223
angles (deg): 90.00 90.00 90.00
Fractional positions:
Li1 0.0000 0.0000 0.0000
Pb1 0.0000 0.0000 0.5000
Pb2 0.0000 0.5000 0.0000
Pb3 0.5000 0.0000 0.0000

(2)
Simulated powder X-ray diffraction pattern
Compound: CsPm
Radiation: a wavelength of 1.5418 Å
Structure: a PBE-relaxed structure

Peak list (10 most intense, 10 to 90 degrees two-theta, sorted by position)
Position (°2θ)	d [Å]	I (rel.)
23.12	3.848	51.9
27.60	3.232	100.0
30.75	2.908	75.5
41.20	2.191	33.8
46.74	1.944	23.5
47.77	1.904	22.0
52.77	1.735	32.8
55.14	1.666	14.4
56.99	1.616	13.0
68.64	1.367	14.9

Structure:
a b c (Å): 8.0157 8.0157 8.0157
angles (deg): 28.07 28.07 28.07
Fractional positions:
Cs1 0.0000 0.0000 0.0000
Pm1 0.5000 0.5000 0.5000

(3)
Simulated powder X-ray diffraction pattern
Compound: UTa2O8
Radiation: a wavelength of 1.5418 Å
Structure: a PBE-relaxed structure

Peak list (10 most intense, 10 to 90 degrees two-theta, sorted by position)
Position (°2θ)	d [Å]	I (rel.)
22.58	3.938	70.3
28.51	3.131	100.0
36.67	2.451	88.7
50.49	1.808	32.2
55.09	1.667	39.6
55.97	1.643	36.2
64.00	1.455	19.0
70.75	1.332	17.5
77.97	1.225	14.4
85.72	1.133	18.3

Structure:
a b c (Å): 6.2619 6.2619 3.9384
angles (deg): 90.00 90.00 120.00
Fractional positions:
U1 0.0000 0.0000 0.0000
Ta1 0.3333 0.6667 0.0000
Ta2 0.6667 0.3333 0.0000
O1 0.0000 0.3276 0.1387
O2 0.0000 0.6724 0.8613
O3 0.3276 0.0000 0.1387
O4 0.3276 0.3276 0.8613
O5 0.3333 0.6667 0.5000
O6 0.6667 0.3333 0.5000
O7 0.6724 0.0000 0.8613
O8 0.6724 0.6724 0.1387

(4)
Simulated powder X-ray diffraction pattern
Compound: K2Hg6S7
Radiation: a wavelength of 1.5418 Å
Structure: a PBE-relaxed structure

Peak list (10 most intense, 10 to 90 degrees two-theta, sorted by position)
Position (°2θ)	d [Å]	I (rel.)
13.99	6.329	42.7
25.17	3.538	22.6
25.59	3.481	33.5
25.96	3.432	37.4
26.73	3.335	17.0
27.86	3.203	100.0
31.30	2.858	18.6
31.61	2.830	27.2
44.60	2.031	43.9
50.59	1.804	18.5

Structure:
a b c (Å): 4.1687 14.1509 14.1511
angles (deg): 90.00 90.00 90.00
Fractional positions:
K1 0.0000 0.0000 0.0000
K2 0.0000 0.3423 0.6577
K3 0.4719 0.4997 0.1577
K4 0.4719 0.8423 0.4997
Hg1 0.4748 0.0121 0.2610
Hg2 0.4748 0.3299 0.3965
Hg3 0.4748 0.6033 0.6698
Hg4 0.4748 0.7388 0.9876
Hg5 0.5114 0.0729 0.7303
Hg6 0.5114 0.2691 0.9271
Hg7 0.9605 0.7691 0.2303
Hg8 0.9605 0.5726 0.4268
Hg9 0.9971 0.1033 0.4876
Hg10 0.9971 0.2388 0.1698
Hg11 0.9971 0.5122 0.8965
Hg12 0.9971 0.8299 0.7610
S1 0.1794 0.1710 0.8287
S2 0.2925 0.6710 0.3287
S3 0.4906 0.1361 0.1328
S4 0.4906 0.2060 0.5246
S5 0.4906 0.4751 0.7938
S6 0.4906 0.8669 0.8636
S7 0.5671 0.4855 0.5141
S8 0.5671 0.8564 0.1432
S9 0.9048 0.3564 0.0142
S10 0.9048 0.9856 0.6432
S11 0.9813 0.3669 0.2938
S12 0.9813 0.6361 0.0246
S13 0.9813 0.7060 0.6328
S14 0.9813 0.9751 0.3636

(5)
Simulated powder X-ray diffraction pattern
Compound: Mg14VGa
Radiation: a wavelength of 1.5418 Å
Structure: a PBE-relaxed structure

Peak list (10 most intense, 10 to 90 degrees two-theta, sorted by position)
Position (°2θ)	d [Å]	I (rel.)
32.90	2.722	13.0
33.16	2.702	24.9
34.89	2.571	40.6
37.38	2.406	50.4
37.61	2.392	100.0
48.90	1.863	15.9
58.91	1.568	16.7
64.36	1.447	19.0
70.33	1.339	19.2
72.32	1.307	13.0

Structure:
a b c (Å): 10.2852 6.2713 6.2713
angles (deg): 59.50 90.00 90.00
Fractional positions:
Mg1 0.0000 0.9999 0.9999
Mg2 0.0000 0.0004 0.5003
Mg3 0.0000 0.5003 0.0004
Mg4 0.0000 0.5000 0.5000
Mg5 0.2510 0.1654 0.1654
Mg6 0.2522 0.6643 0.6643
Mg7 0.2568 0.1707 0.6679
Mg8 0.2568 0.6679 0.1707
Mg9 0.5000 0.5014 0.9982
Mg10 0.5000 0.9982 0.5014
Mg11 0.7432 0.1707 0.6679
Mg12 0.7432 0.6679 0.1707
Mg13 0.7478 0.6643 0.6643
Mg14 0.7490 0.1654 0.1654
V1 0.5000 0.5006 0.5006
Ga1 0.5000 0.9995 0.9995

(6)
Simulated powder X-ray diffraction pattern
Compound: Ba7B12Ir12
Radiation: a wavelength of 1.5418 Å
Structure: a PBE-relaxed structure

Peak list (10 most intense, 10 to 90 degrees two-theta, sorted by position)
Position (°2θ)	d [Å]	I (rel.)
11.45	7.725	53.6
24.97	3.566	17.0
27.55	3.238	56.2
31.00	2.884	23.9
33.95	2.640	22.0
34.84	2.575	100.0
37.84	2.377	28.0
39.91	2.259	16.5
47.92	1.898	14.2
53.81	1.704	23.4

Structure:
a b c (Å): 9.3523 9.3523 9.3523
angles (deg): 111.38 111.38 111.38
Fractional positions:
Ba1 0.0000 0.0000 0.0000
Ba2 0.2074 0.2074 0.5110
Ba3 0.2074 0.5110 0.2074
Ba4 0.4890 0.7926 0.7926
Ba5 0.5110 0.2074 0.2074
Ba6 0.7926 0.4890 0.7926
Ba7 0.7926 0.7926 0.4890
B1 0.0000 0.2270 0.7730
B2 0.0000 0.4408 0.5592
B3 0.0000 0.5592 0.4408
B4 0.0000 0.7730 0.2270
B5 0.2270 0.0000 0.7730
B6 0.2270 0.7730 0.0000
B7 0.4408 0.0000 0.5592
B8 0.4408 0.5592 0.0000
B9 0.5592 0.0000 0.4408
B10 0.5592 0.4408 0.0000
B11 0.7730 0.0000 0.2270
B12 0.7730 0.2270 0.0000
Ir1 0.1153 0.7359 0.7359
Ir2 0.1696 0.5000 0.8304
Ir3 0.1696 0.8304 0.5000
Ir4 0.2641 0.2641 0.8847
Ir5 0.2641 0.8847 0.2641
Ir6 0.5000 0.1696 0.8304
Ir7 0.5000 0.8304 0.1696
Ir8 0.7359 0.1153 0.7359
Ir9 0.7359 0.7359 0.1153
Ir10 0.8304 0.1696 0.5000
Ir11 0.8304 0.5000 0.1696
Ir12 0.8847 0.2641 0.2641

(7)
Simulated powder X-ray diffraction pattern
Compound: La3Pm
Radiation: a wavelength of 1.5418 Å
Structure: a PBE-relaxed structure

Peak list (10 most intense, 10 to 90 degrees two-theta, sorted by position)
Position (°2θ)	d [Å]	I (rel.)
29.35	3.043	100.0
34.02	2.635	50.8
48.88	1.863	36.5
57.96	1.591	14.6
58.09	1.588	29.0
60.90	1.521	12.5
79.20	1.209	11.7
79.31	1.208	5.8
81.60	1.180	5.4
81.78	1.178	10.8

Structure:
a b c (Å): 6.4602 6.4602 6.4602
angles (deg): 131.90 131.90 70.38
Fractional positions:
La1 0.0000 0.0000 0.0000
La2 0.2500 0.7500 0.5000
La3 0.7500 0.2500 0.5000
Pm1 0.5000 0.5000 0.0000

(8)
Simulated powder X-ray diffraction pattern
Compound: Cs3HSe2O8
Radiation: a wavelength of 1.5418 Å
Structure: a PBE-relaxed structure

Peak list (10 most intense, 10 to 90 degrees two-theta, sorted by position)
Position (°2θ)	d [Å]	I (rel.)
23.72	3.751	51.4
24.65	3.611	100.0
27.39	3.256	41.5
27.79	3.210	71.4
36.54	2.459	41.9
38.41	2.344	15.0
40.17	2.245	21.2
46.79	1.941	14.7
48.66	1.871	14.7
57.37	1.606	18.9

Structure:
a b c (Å): 6.4298 6.4298 8.6807
angles (deg): 108.69 108.69 60.85
Fractional positions:
Cs1 0.0000 0.0000 0.0000
Cs2 0.1980 0.1980 0.6099
Cs3 0.8020 0.8020 0.3901
H1 0.5000 0.5000 0.0000
Se1 0.4289 0.4289 0.2341
Se2 0.5711 0.5711 0.7659
O1 0.2728 0.6974 0.6907
O2 0.2871 0.2871 0.2576
O3 0.3026 0.7272 0.3093
O4 0.3970 0.3970 0.0221
O5 0.6030 0.6030 0.9779
O6 0.6974 0.2728 0.6907
O7 0.7129 0.7129 0.7424
O8 0.7272 0.3026 0.3093

(9)
Simulated powder X-ray diffraction pattern
Compound: PdCl2
Radiation: a wavelength of 1.5418 Å
Structure: a PBE-relaxed structure

Peak list (10 most intense, 10 to 90 degrees two-theta, sorted by position)
Position (°2θ)	d [Å]	I (rel.)
15.30	5.790	69.0
21.51	4.131	100.0
25.34	3.514	13.3
30.75	2.908	13.4
35.11	2.556	36.2
36.72	2.448	29.9
45.96	1.975	28.9
47.45	1.916	16.5
49.77	1.832	16.9
58.56	1.576	11.7

Structure:
a b c (Å): 4.4225 11.5790 3.4108
angles (deg): 90.00 90.00 90.00
Fractional positions:
Pd1 0.0000 0.0000 0.0000
Pd2 0.5000 0.5000 0.5000
Cl1 0.1553 0.1238 0.5000
Cl2 0.3447 0.6238 0.0000
Cl3 0.6553 0.3762 0.0000
Cl4 0.8447 0.8762 0.5000

(10)
Simulated powder X-ray diffraction pattern
Compound: RbHgSbSe3
Radiation: a wavelength of 1.5418 Å
Structure: a PBE-relaxed structure

Peak list (10 most intense, 10 to 90 degrees two-theta, sorted by position)
Position (°2θ)	d [Å]	I (rel.)
11.42	7.748	90.3
13.77	6.430	16.3
25.58	3.482	27.7
27.23	3.275	100.0
27.75	3.215	17.4
30.42	2.939	55.1
31.03	2.882	47.5
39.58	2.277	29.8
47.59	1.911	31.9
51.13	1.787	19.9

Structure:
a b c (Å): 8.0673 11.5259 9.1086
angles (deg): 90.00 106.18 90.00
Fractional positions:
Rb1 0.0196 0.2463 0.3804
Rb2 0.0196 0.2537 0.8804
Rb3 0.9804 0.7463 0.1196
Rb4 0.9804 0.7537 0.6196
Hg1 0.4110 0.7493 0.4780
Hg2 0.4110 0.7507 0.9780
Hg3 0.5890 0.2493 0.0220
Hg4 0.5890 0.2507 0.5220
Sb1 0.4438 0.9998 0.7353
Sb2 0.4438 0.5002 0.2353
Sb3 0.5562 0.0002 0.2647
Sb4 0.5562 0.4998 0.7647
Se1 0.2354 0.5512 0.4042
Se2 0.2354 0.9488 0.9042
Se3 0.2378 0.5518 0.9636
Se4 0.2378 0.9482 0.4636
Se5 0.3728 0.2257 0.7186
Se6 0.3728 0.2743 0.2186
Se7 0.6272 0.7257 0.7814
Se8 0.6272 0.7743 0.2814
Se9 0.7622 0.0518 0.5364
Se10 0.7622 0.4482 0.0364
Se11 0.7646 0.0512 0.0958
Se12 0.7646 0.4488 0.5958

(11)
Simulated powder X-ray diffraction pattern
Compound: LiFe3Sn2S8
Radiation: a wavelength of 1.5418 Å
Structure: a PBE-relaxed structure

Peak list (10 most intense, 10 to 90 degrees two-theta, sorted by position)
Position (°2θ)	d [Å]	I (rel.)
14.93	5.936	29.6
15.36	5.768	64.3
17.50	5.068	17.1
28.89	3.090	64.4
29.32	3.046	32.5
29.59	3.018	18.2
35.44	2.533	100.0
49.83	1.830	16.6
50.97	1.792	64.8
52.19	1.753	16.2

Structure:
a b c (Å): 7.1702 7.1702 7.1702
angles (deg): 121.46 118.62 89.95
Fractional positions:
Li1 0.0000 0.0000 0.0000
Fe1 0.2328 0.7328 0.5000
Fe2 0.6178 0.3573 0.7395
Fe3 0.6178 0.8783 0.2605
Sn1 0.1141 0.3667 0.7473
Sn2 0.6194 0.3667 0.2527
S1 0.3828 0.1256 0.7428
S2 0.3828 0.6401 0.2572
S3 0.3945 0.6173 0.7773
S4 0.4050 0.1149 0.2901
S5 0.8248 0.1149 0.7099
S6 0.8400 0.6173 0.2227
S7 0.8425 0.0902 0.2477
S8 0.8425 0.5948 0.7523